No. 1
Starting from a GGA-PBE-relaxed structure, the powder diffractogram of Zr2Rh was computed for Cu Kα (λ = 1.5418 Å).
Neutral-atom scattering factors, no anomalous dispersion.

Cell: 6.544 6.544 5.662 Å, 90.00 90.00 90.00°
Space group I4/mcm (No. 140)
Symmetry-distinct sites (fractional):
Zr 0.165 0.335 0.000 [8 per cell]
Rh 0.000 0.000 0.250 [4 per cell]

Peak list (10 most intense, 2θ from 10° to 90°, by angle)
2θ = 19.2°, d = 4.627 Å, I = 18.9, (1 1 0); 2θ = 34.5°, d = 2.600 Å, I = 100.0, (2 1 1); 2θ = 37.2°, d = 2.415 Å, I = 48.4, (1 1 2); 2θ = 38.9°, d = 2.314 Å, I = 20.4, (2 2 0); 2θ = 42.2°, d = 2.141 Å, I = 55.3, (2 0 2); 2θ = 43.7°, d = 2.069 Å, I = 51.7, (3 1 0); 2θ = 58.2°, d = 1.586 Å, I = 21.3, (2 1 3); 2θ = 66.0°, d = 1.416 Å, I = 23.1, (0 0 4); 2θ = 69.4°, d = 1.354 Å, I = 27.9, (3 3 2); 2θ = 82.6°, d = 1.169 Å, I = 24.4, (3 1 4)


No. 2
Starting from a GGA-PBE-relaxed structure, the powder diffractogram of Be12Ag was computed for Cu Kα (λ = 1.5418 Å).
Neutral-atom scattering factors, no anomalous dispersion.

Cell: 7.363 7.363 4.263 Å, 90.00 90.00 90.00°
Space group I4/mmm (No. 139)
Symmetry-distinct sites (fractional):
Be 0.000 0.234 0.000 [8 per cell]
Be 0.000 0.353 0.500 [8 per cell]
Be 0.250 0.250 0.250 [8 per cell]
Ag 0.000 0.000 0.500 [2 per cell]

Peak list (10 most intense, 2θ from 10° to 90°, by angle)
2θ = 17.0°, d = 5.206 Å, I = 70.3, (1 1 0); 2θ = 24.1°, d = 3.687 Å, I = 100.0, (1 0 1); 2θ = 34.4°, d = 2.605 Å, I = 81.9, (2 1 1); 2θ = 38.7°, d = 2.328 Å, I = 24.8, (3 1 0); 2θ = 42.5°, d = 2.128 Å, I = 29.9, (0 0 2); 2θ = 49.5°, d = 1.843 Å, I = 51.8, (2 0 2); 2θ = 49.5°, d = 1.841 Å, I = 11.5, (4 0 0); 2θ = 58.7°, d = 1.572 Å, I = 13.7, (3 1 2); 2θ = 67.2°, d = 1.392 Å, I = 16.1, (4 0 2); 2θ = 72.6°, d = 1.302 Å, I = 18.3, (4 4 0)


No. 3
Starting from a GGA-PBE-relaxed structure, the powder diffractogram of ErZnPd was computed for Cu Kα (λ = 1.5418 Å).
Neutral-atom scattering factors, no anomalous dispersion.

Cell: 7.3194 7.3194 3.7894 Å, 90.00 90.00 120.00°
Space group P-62m (No. 189)
Symmetry-distinct sites (fractional):
Er 0.0000 0.4057 0.0000 [3 per cell]
Zn 0.0000 0.7465 0.5000 [3 per cell]
Pd 0.0000 0.0000 0.0000 [1 per cell]
Pd 0.3333 0.6667 0.5000 [2 per cell]

Peak list (10 most intense, 2θ from 10° to 90°, by angle)
2θ = 34.1°, d = 2.632 Å, I = 100.0, (1 1 1); 2θ = 37.0°, d = 2.431 Å, I = 90.7, (2 0 1); 2θ = 37.5°, d = 2.396 Å, I = 37.4, (2 1 0); 2θ = 42.8°, d = 2.113 Å, I = 36.7, (3 0 0); 2θ = 44.8°, d = 2.025 Å, I = 20.9, (2 1 1); 2θ = 48.0°, d = 1.895 Å, I = 23.0, (0 0 2); 2θ = 52.0°, d = 1.758 Å, I = 16.8, (3 1 0); 2θ = 57.8°, d = 1.595 Å, I = 20.8, (3 1 1); 2θ = 66.3°, d = 1.411 Å, I = 19.6, (3 0 2); 2θ = 69.2°, d = 1.358 Å, I = 27.8, (3 2 1)


No. 4
Starting from a GGA-PBE-relaxed structure, the powder diffractogram of LaCeOs4 was computed for Cu Kα (λ = 1.5418 Å).
Neutral-atom scattering factors, no anomalous dispersion.

Cell: 7.693 7.693 7.693 Å, 90.00 90.00 90.00°
Space group F-43m (No. 216)
Symmetry-distinct sites (fractional):
La 0.000 0.000 0.000 [4 per cell]
Ce 0.250 0.250 0.750 [4 per cell]
Os 0.125 0.125 0.375 [16 per cell]

Peak list (10 most intense, 2θ from 10° to 90°, by angle)
2θ = 20.0°, d = 4.442 Å, I = 16.9, (1 1 1); 2θ = 32.9°, d = 2.720 Å, I = 18.5, (2 2 0); 2θ = 38.8°, d = 2.320 Å, I = 100.0, (3 1 1); 2θ = 40.6°, d = 2.221 Å, I = 50.8, (2 2 2); 2θ = 47.3°, d = 1.923 Å, I = 9.9, (4 0 0); 2θ = 58.8°, d = 1.570 Å, I = 7.0, (4 2 2); 2θ = 62.8°, d = 1.481 Å, I = 32.9, (5 1 1); 2θ = 69.1°, d = 1.360 Å, I = 30.1, (4 4 0); 2θ = 82.2°, d = 1.173 Å, I = 11.7, (5 3 3); 2θ = 83.3°, d = 1.160 Å, I = 19.8, (6 2 2)